The following is a computed powder diffraction line list of CaTiVO6. It was derived from the PBE+U geometry in Alexandria, using Cu Kα (weighted mean of Kα1 and Kα2).
Neutral-atom scattering factors, no anomalous dispersion.

Cell and atoms:
a b c (Å): 5.103 5.103 10.052
angles (deg): 90.00 90.00 120.00
Element x y z (fractional)
Ca 0.000 0.000 0.000
Ca 0.000 0.000 0.500
Ti 0.333 0.667 0.250
Ti 0.667 0.333 0.750
V 0.333 0.667 0.750
V 0.667 0.333 0.250
O 0.011 0.375 0.645
O 0.011 0.636 0.855
O 0.364 0.375 0.855
O 0.364 0.989 0.645
O 0.375 0.011 0.145
O 0.375 0.364 0.355
O 0.625 0.636 0.645
O 0.625 0.989 0.855
O 0.636 0.011 0.355
O 0.636 0.625 0.145
O 0.989 0.364 0.145
O 0.989 0.625 0.355

Principal peaks in the range 2θ = 5–70°, sorted by position:
(hkl)  d (Å)  Position (°2θ)  Rel. int.
0 0 2  5.026  17.65  36
1 0 2  3.319  26.86  100
1 1 0  2.551  35.18  23
1 1 2  2.275  39.62  29
2 0 2  2.023  44.81  18
1 1 4  1.790  51.01  55
2 1 2  1.585  58.21  19
1 0 6  1.567  58.96  7
3 0 0  1.473  63.12  18
2 -1 6  1.400  66.80  6